1.
For Ac6NdTl6, a cell relaxed with PBE gives the simulated powder X-ray diffraction pattern in this record (Cu Kα (weighted mean of Kα1 and Kα2)).
Intensities are scaled so that the largest is 100.

Peak list (8 most intense, 2θ = 15–90°, sorted by position)
2θ 28.3, I = 62
2θ 28.9, I = 90
2θ 29.2, I = 44
2θ 29.5, I = 42
2θ 33.0, I = 100
2θ 35.0, I = 33
2θ 39.2, I = 30
2θ 58.2, I = 37

Structural model:
a b c (Å): 7.139 7.139 10.741
angles (deg): 90.00 90.00 118.07
Fractional coordinates of all 13 atoms:
Ac  0.000  0.000  0.187
Ac  0.000  0.000  0.813
Ac  0.000  0.500  0.285
Ac  0.000  0.500  0.715
Ac  0.500  0.000  0.285
Ac  0.500  0.000  0.715
Nd  0.500  0.500  0.500
Tl  0.120  0.880  0.500
Tl  0.264  0.736  0.000
Tl  0.500  0.500  0.194
Tl  0.500  0.500  0.806
Tl  0.736  0.264  0.000
Tl  0.880  0.120  0.500

---

2.
For AcNd4Tl4, a cell relaxed with PBE gives the simulated powder X-ray diffraction pattern in this record (Cu Kα (weighted mean of Kα1 and Kα2)).
Intensities are scaled so that the largest is 100.

Peak list (8 most intense, 2θ = 15–90°, sorted by position)
2θ 25.0, I = 40
2θ 29.1, I = 100
2θ 29.7, I = 36
2θ 30.2, I = 56
2θ 31.1, I = 82
2θ 35.5, I = 71
2θ 36.3, I = 71
2θ 63.0, I = 27

Structural model:
a b c (Å): 9.720 9.720 6.223
angles (deg): 90.00 90.00 90.00
Fractional coordinates of all 18 atoms:
Ac  0.250  0.250  0.250
Ac  0.750  0.750  0.750
Nd  0.093  0.830  0.633
Nd  0.170  0.593  0.133
Nd  0.330  0.907  0.133
Nd  0.407  0.670  0.633
Nd  0.593  0.330  0.367
Nd  0.670  0.093  0.867
Nd  0.830  0.407  0.867
Nd  0.907  0.170  0.367
Tl  0.033  0.139  0.852
Tl  0.139  0.467  0.648
Tl  0.361  0.033  0.648
Tl  0.467  0.361  0.852
Tl  0.533  0.639  0.148
Tl  0.639  0.967  0.352
Tl  0.861  0.533  0.352
Tl  0.967  0.861  0.148

---

3.
For Ac4Nd3Tl5, a cell relaxed with PBE gives the simulated powder X-ray diffraction pattern in this record (Cu Kα (weighted mean of Kα1 and Kα2)).
Intensities are scaled so that the largest is 100.

Peak list (8 most intense, 2θ = 15–90°, sorted by position)
2θ 25.4, I = 31
2θ 28.6, I = 44
2θ 29.3, I = 99
2θ 29.5, I = 98
2θ 29.8, I = 82
2θ 30.4, I = 100
2θ 43.1, I = 61
2θ 43.7, I = 26

Structural model:
a b c (Å): 9.361 9.361 9.280
angles (deg): 116.55 116.55 36.65
Fractional coordinates of all 12 atoms:
Ac  0.079  0.079  0.402
Ac  0.163  0.163  0.912
Ac  0.837  0.837  0.088
Ac  0.921  0.921  0.598
Nd  0.281  0.281  0.369
Nd  0.500  0.500  0.000
Nd  0.719  0.719  0.631
Tl  0.000  0.000  0.000
Tl  0.300  0.300  0.738
Tl  0.448  0.448  0.305
Tl  0.552  0.552  0.695
Tl  0.700  0.700  0.262

---

4.
For AcNd2YTl2, a cell relaxed with PBE gives the simulated powder X-ray diffraction pattern in this record (Cu Kα (weighted mean of Kα1 and Kα2)).
Intensities are scaled so that the largest is 100.

Peak list (8 most intense, 2θ = 15–90°, sorted by position)
2θ 27.9, I = 68
2θ 29.1, I = 100
2θ 29.7, I = 18
2θ 32.6, I = 20
2θ 33.3, I = 29
2θ 35.0, I = 28
2θ 36.5, I = 67
2θ 52.6, I = 20

Structural model:
a b c (Å): 4.917 9.626 8.587
angles (deg): 90.00 90.00 90.00
Fractional coordinates of all 12 atoms:
Ac  0.000  0.083  0.000
Ac  0.000  0.917  0.500
Nd  0.000  0.325  0.383
Nd  0.000  0.675  0.883
Nd  0.500  0.420  0.051
Nd  0.500  0.580  0.551
Y  0.500  0.189  0.666
Y  0.500  0.811  0.166
Tl  0.000  0.372  0.758
Tl  0.000  0.628  0.258
Tl  0.500  0.124  0.291
Tl  0.500  0.876  0.791

---

5.
For Ac7Nd3Tm, a cell relaxed with PBE gives the simulated powder X-ray diffraction pattern in this record (Cu Kα (weighted mean of Kα1 and Kα2)).
Intensities are scaled so that the largest is 100.

Peak list (8 most intense, 2θ = 15–90°, sorted by position)
2θ 28.3, I = 72
2θ 28.5, I = 100
2θ 29.3, I = 66
2θ 31.1, I = 55
2θ 34.2, I = 63
2θ 46.3, I = 27
2θ 47.5, I = 26
2θ 58.6, I = 23

Structural model:
a b c (Å): 8.308 8.308 6.936
angles (deg): 94.60 94.60 84.66
Fractional coordinates of all 11 atoms:
Ac  0.000  0.000  0.000
Ac  0.079  0.419  0.261
Ac  0.261  0.261  0.773
Ac  0.419  0.079  0.261
Ac  0.581  0.921  0.739
Ac  0.739  0.739  0.227
Ac  0.921  0.581  0.739
Nd  0.337  0.663  0.000
Nd  0.500  0.500  0.500
Nd  0.663  0.337  0.000
Tm  0.000  0.000  0.500

---

6.
For Ac2Nd4Tm7, a cell relaxed with PBE gives the simulated powder X-ray diffraction pattern in this record (Cu Kα (weighted mean of Kα1 and Kα2)).
Intensities are scaled so that the largest is 100.

Peak list (8 most intense, 2θ = 15–90°, sorted by position)
2θ 26.2, I = 21
2θ 29.7, I = 40
2θ 31.8, I = 100
2θ 32.9, I = 16
2θ 35.2, I = 37
2θ 49.9, I = 19
2θ 51.2, I = 29
2θ 62.3, I = 30

Structural model:
a b c (Å): 6.178 6.178 13.604
angles (deg): 90.00 90.00 120.00
Fractional coordinates of all 13 atoms:
Ac  0.333  0.667  0.000
Ac  0.667  0.333  0.000
Nd  0.000  0.000  0.394
Nd  0.000  0.000  0.606
Nd  0.333  0.667  0.500
Nd  0.667  0.333  0.500
Tm  0.000  0.000  0.000
Tm  0.000  0.348  0.785
Tm  0.000  0.652  0.215
Tm  0.348  0.000  0.785
Tm  0.348  0.348  0.215
Tm  0.652  0.000  0.215
Tm  0.652  0.652  0.785

---

7.
For Ac8Nd2Tm3, a cell relaxed with PBE gives the simulated powder X-ray diffraction pattern in this record (Cu Kα (weighted mean of Kα1 and Kα2)).
Intensities are scaled so that the largest is 100.

Peak list (8 most intense, 2θ = 15–90°, sorted by position)
2θ 22.6, I = 21
2θ 25.6, I = 17
2θ 27.9, I = 53
2θ 29.3, I = 50
2θ 29.5, I = 34
2θ 30.9, I = 100
2θ 53.0, I = 23
2θ 60.8, I = 24

Structural model:
a b c (Å): 11.275 11.275 6.094
angles (deg): 90.00 90.00 135.81
Fractional coordinates of all 13 atoms:
Ac  0.125  0.875  0.000
Ac  0.192  0.398  0.500
Ac  0.325  0.675  0.000
Ac  0.398  0.192  0.500
Ac  0.602  0.808  0.500
Ac  0.675  0.325  0.000
Ac  0.808  0.602  0.500
Ac  0.875  0.125  0.000
Nd  0.238  0.762  0.500
Nd  0.762  0.238  0.500
Tm  0.000  0.000  0.500
Tm  0.298  0.298  0.000
Tm  0.702  0.702  0.000

---

8.
For AcNd5Tm, a cell relaxed with PBE gives the simulated powder X-ray diffraction pattern in this record (Cu Kα (weighted mean of Kα1 and Kα2)).
Intensities are scaled so that the largest is 100.

Peak list (8 most intense, 2θ = 15–90°, sorted by position)
2θ 24.4, I = 16
2θ 28.1, I = 21
2θ 30.3, I = 45
2θ 30.5, I = 100
2θ 31.3, I = 17
2θ 31.5, I = 27
2θ 31.7, I = 59
2θ 53.9, I = 17

Structural model:
a b c (Å): 6.771 6.771 11.824
angles (deg): 102.41 102.41 97.04
Fractional coordinates of all 14 atoms:
Ac  0.000  0.500  0.000
Ac  0.500  0.000  0.500
Nd  0.066  0.276  0.534
Nd  0.080  0.920  0.250
Nd  0.276  0.066  0.034
Nd  0.301  0.446  0.330
Nd  0.446  0.301  0.830
Nd  0.554  0.699  0.170
Nd  0.699  0.554  0.670
Nd  0.724  0.934  0.966
Nd  0.920  0.080  0.750
Nd  0.934  0.724  0.466
Tm  0.259  0.741  0.750
Tm  0.741  0.259  0.250

---

9.
For Ac14NdTm, a cell relaxed with PBE gives the simulated powder X-ray diffraction pattern in this record (Cu Kα (weighted mean of Kα1 and Kα2)).
Intensities are scaled so that the largest is 100.

Peak list (8 most intense, 2θ = 15–90°, sorted by position)
2θ 27.7, I = 100
2θ 31.9, I = 17
2θ 32.1, I = 34
2θ 45.9, I = 26
2θ 46.1, I = 13
2θ 54.4, I = 16
2θ 54.6, I = 32
2θ 57.2, I = 14

Structural model:
a b c (Å): 11.205 7.881 7.881
angles (deg): 90.01 90.00 90.00
Fractional coordinates of all 16 atoms:
Ac  0.000  0.000  0.000
Ac  0.000  0.000  0.500
Ac  0.000  0.500  0.000
Ac  0.000  0.500  0.500
Ac  0.256  0.249  0.249
Ac  0.256  0.249  0.751
Ac  0.256  0.751  0.249
Ac  0.257  0.751  0.751
Ac  0.500  0.001  0.500
Ac  0.500  0.500  0.001
Ac  0.743  0.751  0.751
Ac  0.744  0.249  0.249
Ac  0.744  0.249  0.751
Ac  0.744  0.751  0.249
Nd  0.500  0.500  0.500
Tm  0.500  0.000  0.000

---

10.
For Ac5Nd2Tm, a cell relaxed with PBE gives the simulated powder X-ray diffraction pattern in this record (Cu Kα (weighted mean of Kα1 and Kα2)).
Intensities are scaled so that the largest is 100.

Peak list (8 most intense, 2θ = 15–90°, sorted by position)
2θ 27.1, I = 34
2θ 27.8, I = 66
2θ 27.9, I = 58
2θ 28.8, I = 100
2θ 29.9, I = 59
2θ 29.9, I = 78
2θ 30.9, I = 78
2θ 32.4, I = 40

Structural model:
a b c (Å): 9.683 11.371 13.050
angles (deg): 90.00 111.76 90.00
Fractional coordinates of all 32 atoms:
Ac  0.036  0.160  0.052
Ac  0.036  0.340  0.552
Ac  0.179  0.610  0.779
Ac  0.179  0.890  0.279
Ac  0.200  0.213  0.365
Ac  0.200  0.287  0.865
Ac  0.354  0.725  0.091
Ac  0.354  0.775  0.591
Ac  0.361  0.129  0.668
Ac  0.361  0.371  0.168
Ac  0.639  0.629  0.832
Ac  0.639  0.871  0.332
Ac  0.646  0.225  0.409
Ac  0.646  0.275  0.909
Ac  0.800  0.713  0.135
Ac  0.800  0.787  0.635
Ac  0.821  0.110  0.721
Ac  0.821  0.390  0.221
Ac  0.964  0.660  0.448
Ac  0.964  0.840  0.948
Nd  0.187  0.557  0.305
Nd  0.187  0.943  0.805
Nd  0.419  0.065  0.096
Nd  0.419  0.435  0.596
Nd  0.581  0.565  0.404
Nd  0.581  0.935  0.904
Nd  0.813  0.057  0.195
Nd  0.813  0.443  0.695
Tm  0.000  0.000  0.500
Tm  0.000  0.500  0.000
Tm  0.500  0.000  0.500
Tm  0.500  0.500  0.000

---

11.
For Ac5Nd2Tm2, a cell relaxed with PBE gives the simulated powder X-ray diffraction pattern in this record (Cu Kα (weighted mean of Kα1 and Kα2)).
Intensities are scaled so that the largest is 100.

Peak list (8 most intense, 2θ = 15–90°, sorted by position)
2θ 28.6, I = 100
2θ 28.7, I = 99
2θ 33.1, I = 34
2θ 33.2, I = 34
2θ 33.4, I = 34
2θ 47.7, I = 38
2θ 56.5, I = 38
2θ 56.7, I = 22

Structural model:
a b c (Å): 6.577 6.620 8.551
angles (deg): 82.46 74.81 80.34
Fractional coordinates of all 9 atoms:
Ac  0.000  0.000  0.000
Ac  0.324  0.665  0.667
Ac  0.437  0.892  0.227
Ac  0.563  0.108  0.773
Ac  0.676  0.335  0.333
Nd  0.223  0.450  0.117
Nd  0.777  0.550  0.883
Tm  0.107  0.230  0.551
Tm  0.893  0.770  0.449

---

12.
For AcNd8Tm4, a cell relaxed with PBE gives the simulated powder X-ray diffraction pattern in this record (Cu Kα (weighted mean of Kα1 and Kα2)).
Intensities are scaled so that the largest is 100.

Peak list (8 most intense, 2θ = 15–90°, sorted by position)
2θ 27.2, I = 18
2θ 30.7, I = 100
2θ 32.0, I = 25
2θ 33.5, I = 12
2θ 37.4, I = 40
2θ 49.7, I = 28
2θ 57.6, I = 12
2θ 59.6, I = 14

Structural model:
a b c (Å): 10.703 10.703 10.703
angles (deg): 40.06 40.06 40.06
Fractional coordinates of all 13 atoms:
Ac  0.000  0.000  0.000
Nd  0.257  0.257  0.705
Nd  0.257  0.705  0.257
Nd  0.287  0.287  0.287
Nd  0.295  0.743  0.743
Nd  0.705  0.257  0.257
Nd  0.713  0.713  0.713
Nd  0.743  0.295  0.743
Nd  0.743  0.743  0.295
Tm  0.000  0.000  0.500
Tm  0.000  0.500  0.000
Tm  0.500  0.000  0.000
Tm  0.500  0.500  0.500